# NaBiS2
Simulated powder XRD pattern, Cu Kα X-rays. Input: a structure optimized by DFT (PBE).

Principal peaks in the range 2θ = 10–90°, low angle first:
2θ/deg  I_rel  hkl
15.92  87.2  0 0 1
21.74  86.5  1 0 0
27.06  81.8  1 0 1
30.93  100.0  1 1 0
32.15  45.1  0 0 2
34.97  54.0  1 1 1
39.15  40.1  1 0 2
44.31  36.7  2 0 0
45.22  69.1  1 1 2
55.79  36.8  2 0 2

Cell and atoms:
Lattice parameters (Å, degrees): 4.0884 4.0884 5.5677 90.00 90.00 90.00
Space group P4/mmm (No. 123)
Unique sites:
Na 0.0000 0.0000 0.0000
Bi 0.5000 0.5000 0.5000
S 0.0000 0.0000 0.5000
S 0.5000 0.5000 0.0000